1.
# GdErB4
Theoretical X-ray powder pattern, Cu Kα (weighted mean of Kα1 and Kα2). Input: a crystal structure in OQMD, relaxed with GGA-PBE.

Top 8 peaks for 2θ = 10–90°, in order of falling intensity:
| 2theta | d [Å] | I_rel |
| --- | --- | --- |
| 39.25 | 2.295 | 100 |
| 31.36 | 2.852 | 75 |
| 23.00 | 3.867 | 47 |
| 57.59 | 1.601 | 28 |
| 61.17 | 1.515 | 21 |
| 55.83 | 1.647 | 19 |
| 70.36 | 1.338 | 18 |
| 75.89 | 1.254 | 16 |

Structural model:
a = 5.080 Å, b = 5.080 Å, c = 5.080 Å
α = 142.17°, β = 111.68°, γ = 80.83°
Fractional coordinates of all 6 atoms:
Gd (0.000, 0.000, 0.000)
Er (0.500, 0.500, 0.000)
B (0.084, 0.751, 0.333)
B (0.418, 0.751, 0.667)
B (0.582, 0.249, 0.333)
B (0.916, 0.249, 0.667)

---

2.
# GdEr3B2Pb2
Theoretical X-ray powder pattern, Cu Kα (weighted mean of Kα1 and Kα2). Input: a crystal structure in OQMD, relaxed with GGA-PBE.

Top 8 peaks for 2θ = 10–90°, in order of falling intensity:
| 2theta | d [Å] | I_rel |
| --- | --- | --- |
| 32.40 | 2.763 | 100 |
| 60.41 | 1.532 | 39 |
| 28.00 | 3.186 | 23 |
| 49.55 | 1.840 | 21 |
| 32.26 | 2.775 | 21 |
| 57.62 | 1.600 | 18 |
| 43.24 | 2.092 | 16 |
| 81.85 | 1.177 | 15 |

Structural model:
a = 3.679 Å, b = 3.679 Å, c = 16.648 Å
α = 90.00°, β = 90.00°, γ = 120.00°
Fractional coordinates of all 8 atoms:
Gd (0.000, 0.000, 0.000)
Er (0.000, 0.000, 0.676)
Er (0.667, 0.333, 0.181)
Er (0.667, 0.333, 0.501)
B (0.333, 0.667, 0.092)
B (0.333, 0.667, 0.589)
Pb (0.000, 0.000, 0.341)
Pb (0.667, 0.333, 0.837)

---

3.
# HoErInB
Theoretical X-ray powder pattern, Cu Kα (weighted mean of Kα1 and Kα2). Input: a crystal structure in OQMD, relaxed with GGA-PBE.

Top 8 peaks for 2θ = 10–90°, in order of falling intensity:
| 2theta | d [Å] | I_rel |
| --- | --- | --- |
| 32.88 | 2.724 | 100 |
| 28.67 | 3.113 | 22 |
| 31.81 | 2.813 | 22 |
| 50.80 | 1.797 | 21 |
| 61.19 | 1.515 | 20 |
| 57.35 | 1.607 | 17 |
| 61.84 | 1.500 | 16 |
| 43.35 | 2.087 | 16 |

Structural model:
a = 3.595 Å, b = 3.595 Å, c = 16.880 Å
α = 90.00°, β = 90.00°, γ = 120.00°
Fractional coordinates of all 8 atoms:
Ho (0.333, 0.667, 0.092)
Ho (0.667, 0.333, 0.908)
Er (0.333, 0.667, 0.409)
Er (0.667, 0.333, 0.591)
In (0.333, 0.667, 0.749)
In (0.667, 0.333, 0.251)
B (0.000, 0.000, 0.000)
B (0.000, 0.000, 0.500)

---

4.
# HoErB4N
Theoretical X-ray powder pattern, Cu Kα (weighted mean of Kα1 and Kα2). Input: a crystal structure in OQMD, relaxed with GGA-PBE.

Top 8 peaks for 2θ = 10–90°, in order of falling intensity:
| 2theta | d [Å] | I_rel |
| --- | --- | --- |
| 39.53 | 2.280 | 100 |
| 30.94 | 2.890 | 73 |
| 27.80 | 3.209 | 55 |
| 24.00 | 3.709 | 55 |
| 37.05 | 2.427 | 53 |
| 57.28 | 1.608 | 28 |
| 51.18 | 1.785 | 22 |
| 57.41 | 1.605 | 20 |

Structural model:
a = 5.164 Å, b = 5.164 Å, c = 5.164 Å
α = 143.47°, β = 103.16°, γ = 88.21°
Fractional coordinates of all 7 atoms:
Ho (0.000, 0.000, 0.000)
Er (0.533, 0.533, 0.000)
B (0.128, 0.767, 0.361)
B (0.406, 0.767, 0.639)
B (0.538, 0.267, 0.271)
B (0.995, 0.267, 0.729)
N (0.765, 0.265, 0.500)

---

5.
# HoErB2Pd2N2
Theoretical X-ray powder pattern, Cu Kα (weighted mean of Kα1 and Kα2). Input: a crystal structure in OQMD, relaxed with GGA-PBE.

Top 8 peaks for 2θ = 10–90°, in order of falling intensity:
| 2theta | d [Å] | I_rel |
| --- | --- | --- |
| 36.46 | 2.464 | 100 |
| 26.90 | 3.314 | 80 |
| 33.92 | 2.643 | 59 |
| 42.08 | 2.147 | 59 |
| 35.51 | 2.528 | 51 |
| 49.48 | 1.842 | 44 |
| 62.37 | 1.489 | 39 |
| 60.38 | 1.533 | 27 |

Structural model:
a = 3.685 Å, b = 3.685 Å, c = 7.585 Å
α = 90.00°, β = 90.00°, γ = 90.00°
Fractional coordinates of all 8 atoms:
Ho (0.000, 0.000, 0.000)
Er (0.500, 0.500, 0.676)
B (0.000, 0.000, 0.513)
B (0.500, 0.500, 0.162)
Pd (0.000, 0.500, 0.338)
Pd (0.500, 0.000, 0.338)
N (0.000, 0.000, 0.701)
N (0.500, 0.500, 0.974)

---

6.
# HoErNi8B2
Theoretical X-ray powder pattern, Cu Kα (weighted mean of Kα1 and Kα2). Input: a crystal structure in OQMD, relaxed with GGA-PBE.

Top 8 peaks for 2θ = 10–90°, in order of falling intensity:
| 2theta | d [Å] | I_rel |
| --- | --- | --- |
| 44.84 | 2.021 | 100 |
| 33.11 | 2.705 | 92 |
| 42.01 | 2.151 | 74 |
| 36.17 | 2.484 | 32 |
| 63.12 | 1.473 | 29 |
| 71.11 | 1.326 | 25 |
| 76.75 | 1.242 | 21 |
| 69.49 | 1.353 | 16 |

Structural model:
a = 4.967 Å, b = 4.967 Å, c = 6.959 Å
α = 90.00°, β = 90.00°, γ = 120.00°
Fractional coordinates of all 12 atoms:
Ho (0.000, 0.000, 0.000)
Er (0.000, 0.000, 0.500)
Ni (0.000, 0.500, 0.208)
Ni (0.000, 0.500, 0.792)
Ni (0.333, 0.667, 0.500)
Ni (0.500, 0.000, 0.208)
Ni (0.500, 0.000, 0.792)
Ni (0.500, 0.500, 0.208)
Ni (0.500, 0.500, 0.792)
Ni (0.667, 0.333, 0.500)
B (0.333, 0.667, 0.000)
B (0.667, 0.333, 0.000)

---

7.
# HoErNi8B2
Theoretical X-ray powder pattern, Cu Kα (weighted mean of Kα1 and Kα2). Input: a crystal structure in OQMD, relaxed with GGA-PBE.

Top 8 peaks for 2θ = 10–90°, in order of falling intensity:
| 2theta | d [Å] | I_rel |
| --- | --- | --- |
| 44.84 | 2.021 | 100 |
| 33.12 | 2.705 | 92 |
| 42.02 | 2.150 | 74 |
| 36.18 | 2.483 | 32 |
| 63.13 | 1.473 | 29 |
| 71.13 | 1.325 | 24 |
| 76.77 | 1.242 | 21 |
| 69.50 | 1.352 | 16 |

Structural model:
a = 4.966 Å, b = 4.966 Å, c = 6.959 Å
α = 90.00°, β = 90.00°, γ = 120.00°
Fractional coordinates of all 12 atoms:
Ho (0.000, 0.000, 0.000)
Er (0.000, 0.000, 0.500)
Ni (0.000, 0.500, 0.292)
Ni (0.000, 0.500, 0.708)
Ni (0.333, 0.667, 0.000)
Ni (0.500, 0.000, 0.292)
Ni (0.500, 0.000, 0.708)
Ni (0.500, 0.500, 0.292)
Ni (0.500, 0.500, 0.708)
Ni (0.667, 0.333, 0.000)
B (0.333, 0.667, 0.500)
B (0.667, 0.333, 0.500)

---

8.
# Ho3ErB2Pb2
Theoretical X-ray powder pattern, Cu Kα (weighted mean of Kα1 and Kα2). Input: a crystal structure in OQMD, relaxed with GGA-PBE.

Top 8 peaks for 2θ = 10–90°, in order of falling intensity:
| 2theta | d [Å] | I_rel |
| --- | --- | --- |
| 32.45 | 2.759 | 100 |
| 60.51 | 1.530 | 39 |
| 28.04 | 3.182 | 23 |
| 49.62 | 1.837 | 21 |
| 32.33 | 2.769 | 21 |
| 57.74 | 1.597 | 19 |
| 43.32 | 2.089 | 16 |
| 81.98 | 1.175 | 15 |

Structural model:
a = 3.674 Å, b = 3.674 Å, c = 16.615 Å
α = 90.00°, β = 90.00°, γ = 120.00°
Fractional coordinates of all 8 atoms:
Ho (0.000, 0.000, 0.000)
Ho (0.000, 0.000, 0.322)
Ho (0.667, 0.333, 0.821)
Er (0.667, 0.333, 0.500)
B (0.333, 0.667, 0.411)
B (0.333, 0.667, 0.911)
Pb (0.000, 0.000, 0.660)
Pb (0.667, 0.333, 0.161)

---

Please write out number 7 again, unchanged.
# HoErNi8B2
Theoretical X-ray powder pattern, Cu Kα (weighted mean of Kα1 and Kα2). Input: a crystal structure in OQMD, relaxed with GGA-PBE.

Top 8 peaks for 2θ = 10–90°, in order of falling intensity:
| 2theta | d [Å] | I_rel |
| --- | --- | --- |
| 44.84 | 2.021 | 100 |
| 33.12 | 2.705 | 92 |
| 42.02 | 2.150 | 74 |
| 36.18 | 2.483 | 32 |
| 63.13 | 1.473 | 29 |
| 71.13 | 1.325 | 24 |
| 76.77 | 1.242 | 21 |
| 69.50 | 1.352 | 16 |

Structural model:
a = 4.966 Å, b = 4.966 Å, c = 6.959 Å
α = 90.00°, β = 90.00°, γ = 120.00°
Fractional coordinates of all 12 atoms:
Ho (0.000, 0.000, 0.000)
Er (0.000, 0.000, 0.500)
Ni (0.000, 0.500, 0.292)
Ni (0.000, 0.500, 0.708)
Ni (0.333, 0.667, 0.000)
Ni (0.500, 0.000, 0.292)
Ni (0.500, 0.000, 0.708)
Ni (0.500, 0.500, 0.292)
Ni (0.500, 0.500, 0.708)
Ni (0.667, 0.333, 0.000)
B (0.333, 0.667, 0.500)
B (0.667, 0.333, 0.500)